# ReGeOs
Computed powder XRD pattern, Cu Kα (weighted mean of Kα1 and Kα2). Input: DFT lattice parameters and positions (PBE).

Crystal structure
a b c (Å): 4.022 4.027 11.992
angles (deg): 90.00 90.00 90.00
Fractional coordinates of all 12 atoms:
1 Re 0.000 0.250 0.184
2 Re 0.000 0.750 0.316
3 Re 0.500 0.250 0.816
4 Re 0.500 0.750 0.684
5 Ge 0.250 0.007 0.000
6 Ge 0.250 0.993 0.500
7 Ge 0.750 0.493 0.000
8 Ge 0.750 0.507 0.500
9 Os 0.000 0.250 0.679
10 Os 0.000 0.750 0.821
11 Os 0.500 0.250 0.321
12 Os 0.500 0.750 0.179

Main lines, in order of rising 2θ (2θ = 10–90°):
(hkl), two_theta, d_spacing, I_rel
0 0 2, 14.8, 5.996, 62
1 1 2, 34.9, 2.571, 100
1 1 4, 43.9, 2.064, 87
2 0 0, 45.1, 2.012, 25
0 0 6, 45.4, 1.999, 22
2 0 2, 47.7, 1.908, 49
3 1 2, 76.5, 1.245, 21
3 1 4, 82.3, 1.172, 29

---

# TaReGeOs
Computed powder XRD pattern, Cu Kα (weighted mean of Kα1 and Kα2). Input: DFT lattice parameters and positions (PBE).

Crystal structure
a b c (Å): 6.269 6.269 6.269
angles (deg): 90.00 90.00 90.00
Fractional coordinates of all 16 atoms:
1 Ta 0.000 0.000 0.000
2 Ta 0.000 0.500 0.500
3 Ta 0.500 0.000 0.500
4 Ta 0.500 0.500 0.000
5 Re 0.250 0.250 0.250
6 Re 0.250 0.750 0.750
7 Re 0.750 0.250 0.750
8 Re 0.750 0.750 0.250
9 Ge 0.000 0.000 0.500
10 Ge 0.000 0.500 0.000
11 Ge 0.500 0.000 0.000
12 Ge 0.500 0.500 0.500
13 Os 0.250 0.250 0.750
14 Os 0.250 0.750 0.250
15 Os 0.750 0.250 0.250
16 Os 0.750 0.750 0.750

Main lines, in order of rising 2θ (2θ = 10–90°):
(hkl), two_theta, d_spacing, I_rel
1 1 1, 24.6, 3.619, 7
2 0 0, 28.5, 3.134, 4
2 2 0, 40.7, 2.216, 100
3 1 1, 48.1, 1.890, 3
4 0 0, 58.9, 1.567, 17
4 2 0, 66.7, 1.402, 2
4 2 2, 74.1, 1.280, 35
4 4 0, 88.2, 1.108, 12

---

# ThSiGe2Os2
Computed powder XRD pattern, Cu Kα (weighted mean of Kα1 and Kα2). Input: DFT lattice parameters and positions (PBE).

Crystal structure
a b c (Å): 4.489 4.489 5.663
angles (deg): 90.00 90.00 90.00
Fractional coordinates of all 6 atoms:
1 Th 0.000 0.000 0.000
2 Si 0.000 0.000 0.500
3 Ge 0.500 0.500 0.227
4 Ge 0.500 0.500 0.773
5 Os 0.000 0.500 0.500
6 Os 0.500 0.000 0.500

Main lines, in order of rising 2θ (2θ = 10–90°):
(hkl), two_theta, d_spacing, I_rel
0 0 2, 31.6, 2.831, 18
1 1 1, 32.3, 2.769, 100
1 0 2, 37.6, 2.395, 30
2 0 0, 40.2, 2.245, 48
2 0 2, 52.0, 1.759, 18
2 1 2, 56.2, 1.638, 19
2 2 0, 58.1, 1.587, 17
3 1 1, 68.1, 1.377, 24